1.
CdHg4BiPb2: simulated PXRD pattern (CuKα), based on a structure optimized by DFT (GGA-PBE).
Intensities are scaled so that the largest is 100.

Cell and atoms:
```
CdHg4BiPb2
1.0
0.0000 4.8411 6.2466
3.8965 0.0000 6.2466
3.8965 4.8411 0.0000
Cd Hg Bi Pb
1 4 1 2
Cartesian
0.0000 0.0000 0.0000 Cd
5.8448 7.2616 12.4885 Hg
3.8965 4.8411 3.0309 Hg
5.8448 7.2616 6.2513 Hg
3.8965 4.8411 9.4623 Hg
5.8448 7.2616 9.3699 Bi
1.9483 2.4205 3.1233 Pb
3.8965 4.8411 6.2466 Pb
```

Top 8 peaks for 2θ = 5–70°, sorted by position:
- 28.6°, rel. 53
- 29.4°, rel. 100
- 37.1°, rel. 28
- 41.5°, rel. 80
- 47.5°, rel. 27
- 67.4°, rel. 19
- 68.8°, rel. 18
- 69.9°, rel. 18

=====

2.
Cd4Hg2BiPb2: simulated PXRD pattern (CuKα), based on a structure optimized by DFT (GGA-PBE).
Intensities are scaled so that the largest is 100.

Cell and atoms:
```
Cd4Hg2BiPb2
1.0
3.4112 0.0000 0.0000
-1.7056 2.9542 0.0000
0.0000 0.0000 24.0530
Cd Hg Bi Pb
4 2 1 2
Cartesian
0.0000 0.0000 0.0000 Cd
0.0000 0.0000 4.8170 Cd
1.7056 0.9847 7.2267 Cd
1.7056 0.9847 12.1222 Cd
0.0000 0.0000 9.6709 Hg
1.7056 0.9847 2.3995 Hg
0.0000 0.0000 18.2657 Bi
1.7056 0.9847 15.2284 Pb
1.7056 0.9847 21.2898 Pb
```

Top 8 peaks for 2θ = 5–70°, sorted by position:
- 30.3°, rel. 50
- 32.3°, rel. 29
- 33.5°, rel. 20
- 33.8°, rel. 48
- 35.7°, rel. 100
- 53.7°, rel. 38
- 62.6°, rel. 20
- 64.9°, rel. 18

=====

3.
RbCdHg2Bi: simulated PXRD pattern (CuKα), based on a structure optimized by DFT (GGA-PBE).
Intensities are scaled so that the largest is 100.

Cell and atoms:
```
RbCdHg2Bi
1.0
5.0443 0.0000 0.0000
0.0000 5.0787 0.0000
0.0000 0.0000 12.9305
Rb Cd Hg Bi
2 2 4 2
Cartesian
0.0000 0.0000 0.0000 Rb
2.5222 2.5394 6.4653 Rb
0.0000 2.5394 9.6281 Cd
2.5222 0.0000 3.1629 Cd
0.0000 0.0000 7.9381 Hg
0.0000 2.5394 3.0730 Hg
2.5222 0.0000 9.5383 Hg
2.5222 2.5394 1.4728 Hg
0.0000 0.0000 4.9079 Bi
2.5222 2.5394 11.3732 Bi
```

Top 8 peaks for 2θ = 5–70°, sorted by position:
- 18.8°, rel. 38
- 27.2°, rel. 67
- 28.5°, rel. 100
- 35.3°, rel. 48
- 35.6°, rel. 47
- 37.5°, rel. 98
- 39.1°, rel. 44
- 51.0°, rel. 34

=====

4.
RbCd2Hg4Bi: simulated PXRD pattern (CuKα), based on a structure optimized by DFT (GGA-PBE).
Intensities are scaled so that the largest is 100.

Cell and atoms:
```
RbCd2Hg4Bi
1.0
5.4678 0.0000 0.0000
0.0000 5.4678 0.0000
0.0000 0.0000 8.6335
Rb Cd Hg Bi
1 2 4 1
Cartesian
0.0000 0.0000 0.0000 Rb
2.7339 2.7339 1.4751 Cd
2.7339 2.7339 7.1584 Cd
0.0000 2.7339 2.6424 Hg
0.0000 2.7339 5.9911 Hg
2.7339 0.0000 2.6424 Hg
2.7339 0.0000 5.9911 Hg
0.0000 0.0000 4.3167 Bi
```

Top 8 peaks for 2θ = 5–70°, sorted by position:
- 10.2°, rel. 31
- 26.3°, rel. 35
- 31.1°, rel. 83
- 32.8°, rel. 100
- 39.0°, rel. 92
- 47.0°, rel. 37
- 57.4°, rel. 32
- 62.7°, rel. 39

=====

5.
CdSn2HgBi: simulated PXRD pattern (CuKα), based on a structure optimized by DFT (GGA-PBE).
Intensities are scaled so that the largest is 100.

Cell and atoms:
```
CdSn2HgBi
1.0
7.3251 0.0000 0.0000
0.0000 4.3374 0.0000
-2.9214 0.0000 9.4511
Cd Sn Hg Bi
2 4 2 2
Cartesian
-0.4028 1.0844 4.3806 Cd
4.8065 3.2531 5.0704 Cd
0.4028 1.0844 1.4051 Sn
1.9821 3.2531 3.4661 Sn
2.4216 1.0844 5.9850 Sn
4.0009 3.2531 8.0460 Sn
0.1612 3.2531 6.5861 Hg
4.2424 1.0844 2.8650 Hg
2.3114 3.2531 0.2552 Bi
2.0922 1.0844 9.1959 Bi
```

Top 8 peaks for 2θ = 5–70°, sorted by position:
- 22.6°, rel. 13
- 24.1°, rel. 23
- 24.5°, rel. 18
- 32.9°, rel. 58
- 34.5°, rel. 100
- 41.6°, rel. 23
- 55.2°, rel. 16
- 59.7°, rel. 18

=====

6.
Ho5Cd2Bi: simulated PXRD pattern (CuKα), based on a structure optimized by DFT (GGA-PBE).
Intensities are scaled so that the largest is 100.

Cell and atoms:
```
Ho5Cd2Bi
1.0
-4.1818 4.1818 6.4709
4.1818 -4.1818 6.4709
4.1818 4.1818 -6.4709
Ho Cd Bi
10 4 2
Cartesian
0.0000 0.0000 0.0000 Ho
5.4573 1.2755 -1.9260 Ho
1.2755 2.9063 -1.9260 Ho
5.4573 1.2755 1.9260 Ho
1.2755 2.9063 1.9260 Ho
0.0000 0.0000 6.4709 Ho
2.9063 1.2755 4.5448 Ho
-1.2755 2.9063 4.5448 Ho
2.9063 1.2755 8.3969 Ho
-1.2755 2.9063 8.3969 Ho
3.0115 1.1703 0.0000 Cd
3.0115 -1.1703 6.4709 Cd
1.1703 5.3521 0.0000 Cd
1.1703 3.0115 6.4709 Cd
0.0000 0.0000 3.2354 Bi
0.0000 0.0000 9.7063 Bi
```

Top 8 peaks for 2θ = 5–70°, sorted by position:
- 30.2°, rel. 14
- 31.5°, rel. 25
- 31.7°, rel. 100
- 33.9°, rel. 74
- 35.1°, rel. 24
- 48.7°, rel. 12
- 54.5°, rel. 13
- 63.7°, rel. 26

=====

7.
HoCd2BiO6: simulated PXRD pattern (CuKα), based on a structure optimized by DFT (GGA-PBE).
Intensities are scaled so that the largest is 100.

Cell and atoms:
```
HoCd2BiO6
1.0
2.8758 1.6603 5.0318
-2.8758 1.6603 5.0318
0.0000 -3.3206 5.0318
Ho Cd Bi O
1 2 1 6
Cartesian
0.0000 0.0000 0.0000 Ho
0.0000 0.0000 4.1743 Cd
0.0000 0.0000 11.7753 Cd
0.0000 0.0000 7.4708 Bi
-1.6665 0.1238 6.0853 O
-1.1280 -1.4641 8.5480 O
0.7260 -1.5051 6.0853 O
-0.7040 1.7089 8.5479 O
0.9405 1.3813 6.0853 O
1.8319 -0.2448 8.5479 O
```

Top 8 peaks for 2θ = 5–70°, sorted by position:
- 21.4°, rel. 29
- 29.7°, rel. 100
- 31.1°, rel. 93
- 43.5°, rel. 42
- 48.0°, rel. 28
- 51.8°, rel. 14
- 54.5°, rel. 39
- 55.3°, rel. 26

=====

8.
Cd2BiI6: simulated PXRD pattern (CuKα), based on a structure optimized by DFT (GGA-PBE).
Intensities are scaled so that the largest is 100.

Cell and atoms:
```
Cd2BiI6
1.0
7.9658 -2.1649 0.0000
7.9658 2.1649 0.0000
-2.5663 0.0000 12.3123
Cd Bi I
2 1 6
Cartesian
2.8165 0.0000 2.8831 Cd
10.5487 0.0000 9.4292 Cd
6.6826 0.0000 6.1562 Bi
1.1109 0.0000 5.1933 I
3.3218 0.0000 11.1090 I
5.6362 0.0000 3.2492 I
7.7290 0.0000 9.0631 I
10.0434 0.0000 1.2033 I
12.2543 0.0000 7.1190 I
```

Top 8 peaks for 2θ = 5–70°, sorted by position:
- 7.2°, rel. 100
- 14.6°, rel. 62
- 22.9°, rel. 70
- 26.5°, rel. 84
- 26.8°, rel. 100
- 28.7°, rel. 91
- 40.7°, rel. 97
- 41.6°, rel. 75

=====

9.
CdBiI: simulated PXRD pattern (CuKα), based on a structure optimized by DFT (GGA-PBE).
Intensities are scaled so that the largest is 100.

Cell and atoms:
```
CdBiI
1.0
4.4153 0.0000 0.0000
-2.2074 7.6608 0.0000
-2.2073 -3.0701 7.2187
Cd Bi I
2 2 2
Cartesian
-1.1020 0.5485 2.9165 Cd
1.1026 4.0423 4.3022 Cd
-1.1033 -2.1231 6.7267 Bi
1.1039 6.7139 0.4920 Bi
-1.1044 3.6697 2.3153 I
1.1050 0.9210 4.9034 I
```

Top 8 peaks for 2θ = 5–70°, sorted by position:
- 13.7°, rel. 46
- 20.8°, rel. 61
- 26.4°, rel. 98
- 26.7°, rel. 55
- 27.6°, rel. 40
- 29.0°, rel. 67
- 40.4°, rel. 100
- 40.9°, rel. 37

=====

10.
CdBiI2N: simulated PXRD pattern (CuKα), based on a structure optimized by DFT (GGA-PBE).
Intensities are scaled so that the largest is 100.

Cell and atoms:
```
CdBiI2N
1.0
6.3976 0.0000 0.0000
0.0000 6.3976 0.0000
0.0000 0.0000 4.2662
Cd Bi I N
1 1 2 1
Cartesian
0.0000 0.0000 0.0000 Cd
3.1988 3.1988 2.1331 Bi
0.0000 3.1988 2.1331 I
3.1988 0.0000 2.1331 I
3.1988 3.1988 0.0000 N
```

Top 8 peaks for 2θ = 5–70°, sorted by position:
- 20.8°, rel. 31
- 25.1°, rel. 70
- 27.9°, rel. 100
- 35.1°, rel. 34
- 37.9°, rel. 49
- 39.9°, rel. 38
- 51.5°, rel. 37
- 59.6°, rel. 24

=====

11.
RbCdBiI6: simulated PXRD pattern (CuKα), based on a structure optimized by DFT (GGA-PBE).
Intensities are scaled so that the largest is 100.

Cell and atoms:
```
RbCdBiI6
1.0
7.9218 0.0000 0.0000
-3.9609 6.8605 0.0000
0.0000 0.0000 8.2018
Rb Cd Bi I
1 1 1 6
Cartesian
0.0000 0.0000 0.0000 Rb
3.9609 2.2868 4.1009 Cd
0.0000 4.5737 4.1009 Bi
2.9466 0.0533 5.8887 I
1.5195 2.5251 2.3131 I
4.9753 0.0533 2.3131 I
2.5338 4.2820 5.8887 I
6.4024 2.5251 5.8887 I
5.3880 4.2820 2.3131 I
```

Top 8 peaks for 2θ = 5–70°, sorted by position:
- 10.8°, rel. 42
- 12.9°, rel. 19
- 16.8°, rel. 50
- 25.0°, rel. 100
- 31.4°, rel. 86
- 36.3°, rel. 24
- 39.4°, rel. 41
- 40.1°, rel. 33

=====

12.
CdBiSe2I: simulated PXRD pattern (CuKα), based on a structure optimized by DFT (GGA-PBE).
Intensities are scaled so that the largest is 100.

Cell and atoms:
```
CdBiSe2I
1.0
6.9792 -2.1250 0.0000
6.9792 2.1250 0.0000
-0.2154 0.0000 10.3471
Cd Bi Se I
2 2 4 2
Cartesian
0.0000 0.0000 0.0000 Cd
-0.1077 0.0000 5.1735 Cd
3.8273 0.0000 7.0646 Bi
9.9156 0.0000 3.2825 Bi
1.0826 0.0000 2.7081 Se
4.8870 0.0000 4.5453 Se
8.8559 0.0000 5.8018 Se
12.6603 0.0000 7.6390 Se
5.0415 0.0000 0.7663 I
8.7014 0.0000 9.5808 I
```

Top 8 peaks for 2θ = 5–70°, sorted by position:
- 21.6°, rel. 47
- 28.4°, rel. 100
- 28.6°, rel. 56
- 29.6°, rel. 31
- 29.9°, rel. 42
- 41.5°, rel. 27
- 42.2°, rel. 30
- 42.5°, rel. 35